For HoScIrOs, a DFT-relaxed cell (GGA-PBE, Alexandria) gives the theoretical X-ray diffraction stick pattern in this record (Cu Kα X-rays).

Crystal structure
Cell lengths 6.6213, 6.6213, 6.6213 Å; angles 90.00, 90.00, 90.00 degrees
Space group F-43m (No. 216)
Symmetry-distinct sites (fractional):
1 Ho 0.0000 0.0000 0.0000 (multiplicity 4)
2 Sc 0.0000 0.0000 0.5000 (multiplicity 4)
3 Ir 0.2500 0.2500 0.7500 (multiplicity 4)
4 Os 0.2500 0.2500 0.2500 (multiplicity 4)

Main lines, sorted by position (10° ≤ 2θ ≤ 90°):
23.27 deg, rel. 10, hkl 1 1 1
26.93 deg, rel. 10, hkl 2 0 0
38.45 deg, rel. 100, hkl 2 2 0
45.43 deg, rel. 5, hkl 3 1 1
47.57 deg, rel. 3, hkl 2 2 2
55.51 deg, rel. 17, hkl 4 0 0
61.00 deg, rel. 2, hkl 3 3 1
62.76 deg, rel. 4, hkl 4 2 0
69.55 deg, rel. 35, hkl 4 2 2
82.39 deg, rel. 11, hkl 4 4 0

***

For RbUCl14, a DFT-relaxed cell (GGA-PBE, Alexandria) gives the theoretical X-ray diffraction stick pattern in this record (Cu Kα X-rays).

Crystal structure
Cell lengths 9.9709, 13.1618, 8.4027 Å; angles 90.00, 106.68, 90.00 degrees
Space group C2 (No. 5)
Symmetry-distinct sites (fractional):
1 Rb 0.0000 0.0000 0.0000 (multiplicity 2)
2 U 0.0000 0.6325 0.0000 (multiplicity 2)
3 Cl 0.0000 0.5157 0.5000 (multiplicity 2)
4 Cl 0.0000 0.9944 0.5000 (multiplicity 2)
5 Cl 0.0083 0.2282 0.7651 (multiplicity 4)
6 Cl 0.0731 0.7223 0.2789 (multiplicity 4)
7 Cl 0.1262 0.5148 0.7742 (multiplicity 4)
8 Cl 0.1733 0.2196 0.4178 (multiplicity 4)
9 Cl 0.1795 0.5030 0.1499 (multiplicity 4)
10 Cl 0.2162 0.7371 0.9890 (multiplicity 4)

Main lines, sorted by position (10° ≤ 2θ ≤ 90°):
10.99 deg, rel. 100, hkl 0 0 1
11.45 deg, rel. 93, hkl 1 1 0
13.45 deg, rel. 85, hkl 0 2 0
13.92 deg, rel. 60, hkl 1 1 -1
17.41 deg, rel. 37, hkl 0 2 1
17.66 deg, rel. 38, hkl 1 1 1
18.58 deg, rel. 44, hkl 2 0 0
22.30 deg, rel. 31, hkl 1 3 0
23.05 deg, rel. 57, hkl 2 2 -1
28.05 deg, rel. 63, hkl 2 2 -2